Record 1
For V5B2W, DFT lattice parameters and positions (GGA-PBE) gives the simulated PXRD pattern in this record (Cu Ka).

Most intense lines, 2θ from 10° to 80°, sorted by position:
index, d/Å, 2theta, I/Imax
0 1 1, 5.458, 16.24, 39.1
0 0 2, 4.233, 20.99, 22.3
1 1 0, 2.847, 31.42, 37.4
0 2 2, 2.729, 32.82, 71.0
0 1 3, 2.624, 34.17, 32.2
1 1 2, 2.362, 38.09, 15.9
0 3 1, 2.291, 39.33, 30.6
1 2 1, 2.258, 39.93, 100.0
1 0 3, 2.088, 43.33, 80.8
0 2 4, 1.820, 50.11, 30.9
1 3 2, 1.725, 53.10, 23.2
0 0 6, 1.410, 66.29, 23.4

Atomic structure:
Cell: 3.1048 7.1391 8.4657 Å, 90.00 90.00 90.00°
Space group Immm (No. 71)
One atom of each set of equivalent atoms:
V 0.0000 0.0000 0.0000 [2 per cell]
V 0.0000 0.3119 0.3403 [8 per cell]
B 0.0000 0.0000 0.2821 [4 per cell]
W 0.0000 0.5000 0.0000 [2 per cell]

---

Record 2
For ThAl2Co2Ge, DFT lattice parameters and positions (GGA-PBE) gives the simulated PXRD pattern in this record (Cu Ka).

Most intense lines, 2θ from 10° to 80°, sorted by position:
index, d/Å, 2theta, I/Imax
1 0 0, 4.348, 20.42, 100.0
1 0 1, 3.460, 25.74, 42.2
1 1 0, 3.075, 29.04, 37.8
0 0 2, 2.857, 31.31, 41.2
1 1 1, 2.708, 33.08, 77.5
1 0 2, 2.388, 37.67, 91.7
2 0 0, 2.174, 41.54, 63.6
2 1 0, 1.945, 46.71, 24.4
2 0 2, 1.730, 52.92, 37.5
2 1 2, 1.608, 57.31, 54.7
2 2 0, 1.537, 60.19, 21.0
3 1 1, 1.337, 70.43, 17.1

Atomic structure:
Cell: 4.3483 4.3483 5.7146 Å, 90.00 90.00 90.00°
Space group P4/mmm (No. 123)
One atom of each set of equivalent atoms:
Th 0.0000 0.0000 0.0000 [1 per cell]
Al 0.5000 0.5000 0.2505 [2 per cell]
Co 0.0000 0.5000 0.5000 [2 per cell]
Ge 0.0000 0.0000 0.5000 [1 per cell]

---

Record 3
For Cd2Ag6Pb, DFT lattice parameters and positions (GGA-PBE) gives the simulated PXRD pattern in this record (Cu Ka).

Most intense lines, 2θ from 10° to 80°, sorted by position:
index, d/Å, 2theta, I/Imax
3 1 0, 3.611, 24.66, 23.5
1 1 1, 3.272, 27.25, 14.3
2 2 0, 2.639, 33.98, 12.9
3 1 1, 2.543, 35.29, 36.1
5 1 0, 2.514, 35.72, 11.9
2 0 -2, 2.433, 36.95, 64.7
2 2 -1, 2.422, 37.11, 100.0
4 2 1, 1.849, 49.28, 24.0
6 2 -1, 1.847, 49.34, 15.5
4 2 -3, 1.403, 66.67, 16.9
8 2 1, 1.315, 71.79, 11.9
2 4 -2, 1.229, 77.70, 16.5

Atomic structure:
Cell: 14.8183 5.6973 4.8683 Å, 90.00 109.08 90.00°
Space group C2/m (No. 12)
One atom of each set of equivalent atoms:
Cd 0.1185 0.0000 0.1187 [4 per cell]
Ag 0.0000 0.2354 0.5000 [4 per cell]
Ag 0.1990 0.2492 0.6993 [8 per cell]
Pb 0.0000 0.5000 0.0000 [2 per cell]

---

Record 4
For CsPuGa2Sb2, DFT lattice parameters and positions (GGA-PBE) gives the simulated PXRD pattern in this record (Cu Ka).

Most intense lines, 2θ from 10° to 80°, sorted by position:
index, d/Å, 2theta, I/Imax
1 0 0, 3.823, 23.27, 8.9
1 0 1, 3.614, 24.64, 8.2
0 1 2, 3.146, 28.37, 100.0
0 0 4, 2.769, 32.33, 9.7
0 1 3, 2.656, 33.75, 27.7
0 1 4, 2.242, 40.21, 15.7
1 1 0, 2.207, 40.89, 41.8
1 0 5, 1.917, 47.44, 10.3
2 0 2, 1.807, 50.51, 20.4
1 1 4, 1.726, 53.06, 14.5
1 0 6, 1.662, 55.26, 14.3
1 2 2, 1.398, 66.93, 17.7

Atomic structure:
Cell: 4.4143 4.4143 11.0755 Å, 90.00 90.00 120.00°
Space group P-3m1 (No. 164)
One atom of each set of equivalent atoms:
Cs 0.0000 0.0000 0.0000 [1 per cell]
Pu 0.0000 0.0000 0.5000 [1 per cell]
Ga 0.3333 0.6667 0.6378 [2 per cell]
Sb 0.3333 0.6667 0.2613 [2 per cell]

---

Record 5
For SrAl2B2O7, DFT lattice parameters and positions (GGA-PBE) gives the simulated PXRD pattern in this record (Cu Ka).

Most intense lines, 2θ from 10° to 80°, sorted by position:
index, d/Å, 2theta, I/Imax
0 0 6, 8.089, 10.94, 100.0
1 0 4, 4.044, 21.98, 65.8
0 1 8, 3.503, 25.43, 73.8
1 0 10, 3.214, 27.76, 32.9
0 1 14, 2.696, 33.23, 58.6
1 1 0, 2.477, 36.27, 46.6
0 2 4, 2.112, 42.82, 49.7
0 0 24, 2.022, 44.82, 17.3
1 1 18, 1.824, 50.01, 28.9
1 0 28, 1.607, 57.33, 26.2
1 1 24, 1.566, 58.97, 20.6
3 0 0, 1.430, 65.25, 20.0

Atomic structure:
Cell: 4.9534 4.9534 48.5316 Å, 90.00 90.00 120.00°
Space group R-3c (No. 167, hexagonal axes)
One atom of each set of equivalent atoms:
Sr 0.0000 0.0000 0.0000 [6 per cell]
Al 0.0000 0.0000 0.2152 [12 per cell]
B 0.0000 0.0000 0.1325 [12 per cell]
O 0.0000 0.0000 0.2500 [6 per cell]
O 0.0298 0.4222 0.0329 [36 per cell]

---

Record 6
For La4Dy2Er, DFT lattice parameters and positions (GGA-PBE) gives the simulated PXRD pattern in this record (Cu Ka).

Most intense lines, 2θ from 10° to 80°, sorted by position:
index, d/Å, 2theta, I/Imax
3 3 1, 3.164, 28.20, 15.1
4 0 0, 3.025, 29.53, 12.4
1 7 1, 3.002, 29.76, 100.0
4 2 0, 2.938, 30.42, 27.3
2 0 2, 2.875, 31.10, 65.2
3 5 1, 2.817, 31.77, 29.1
2 2 2, 2.800, 31.96, 21.6
4 4 0, 2.716, 32.98, 11.5
3 7 1, 2.458, 36.56, 28.6
1 7 3, 1.831, 49.80, 20.7
2 14 0, 1.690, 54.28, 15.9
0 14 2, 1.550, 59.67, 14.2

Atomic structure:
Cell: 12.1015 24.6424 6.5356 Å, 90.00 90.00 90.00°
Space group Fdd2 (No. 43)
One atom of each set of equivalent atoms:
La 0.0480 0.4288 0.0000 [16 per cell]
La 0.0706 0.3560 0.4679 [16 per cell]
Dy 0.0213 0.2830 0.9487 [16 per cell]
Er 0.0000 0.0000 0.9990 [8 per cell]